Record 1
The following is a calculated XRD peak list of HgPtAu. It was derived from DFT lattice parameters and positions (GGA-PBE), using copper Kα.
Intensities are scaled so that the largest is 100.

Structure:
a = 2.9835 Å, b = 4.6408 Å, c = 4.7217 Å
α = 90.00°, β = 90.00°, γ = 90.00°
Space group Pmmm (No. 47)
Symmetry-distinct sites (fractional):
Hg 0.0000 0.0000 0.0000 x1
Pt 0.5000 0.0000 0.5000 x1
Au 0.0000 0.5000 0.5000 x1

Principal peaks in the range 2θ from 10° to 90°, by angle:
Position (°2θ)	I (rel.)
18.79	18
19.12	18
26.94	18
38.12	30
38.81	29
40.72	100
55.53	20
62.24	9
70.64	20
71.55	19
75.37	8
88.17	12

Record 2
The following is a calculated XRD peak list of La8SiSb5. It was derived from DFT lattice parameters and positions (GGA-PBE), using copper Kα.
Intensities are scaled so that the largest is 100.

Structure:
a = 9.6138 Å, b = 9.6138 Å, c = 9.6902 Å
α = 90.00°, β = 90.00°, γ = 90.00°
Space group I-4 (No. 82)
Symmetry-distinct sites (fractional):
La 0.0697 0.3237 0.0487 x8
La 0.0708 0.1931 0.6983 x8
Si 0.0000 0.5000 0.7500 x2
Sb 0.0000 0.0000 0.0000 x2
Sb 0.1206 0.2480 0.3726 x8

Principal peaks in the range 2θ from 10° to 90°, by angle:
Position (°2θ)	I (rel.)
29.17	45
29.37	100
34.74	44
34.87	53
42.00	10
44.06	13
46.20	18
48.13	13
48.26	13
59.16	13
59.24	12
72.16	13

Record 3
The following is a calculated XRD peak list of Sc8Ge3Te4As. It was derived from DFT lattice parameters and positions (GGA-PBE), using copper Kα.
Intensities are scaled so that the largest is 100.

Structure:
a = 8.0221 Å, b = 8.0221 Å, c = 20.0861 Å
α = 90.00°, β = 90.00°, γ = 120.00°
Space group R-3m (No. 166, hexagonal axes)
Symmetry-distinct sites (fractional):
Sc 0.0000 0.0000 0.2397 x6
Sc 0.0026 0.5013 0.7610 x18
Ge 0.0000 0.5000 0.5000 x9
Te 0.0000 0.0000 0.0000 x3
Te 0.0000 0.5000 0.0000 x9
As 0.0000 0.0000 0.5000 x3

Principal peaks in the range 2θ from 10° to 90°, by angle:
Position (°2θ)	I (rel.)
26.63	8
27.16	21
31.31	100
34.12	6
44.53	34
45.21	36
53.24	8
56.03	18
65.33	10
73.73	13
74.73	15
83.00	11

Record 4
The following is a calculated XRD peak list of Tb2Pm2Y6Ho. It was derived from DFT lattice parameters and positions (GGA-PBE), using copper Kα.
Intensities are scaled so that the largest is 100.

Structure:
a = 5.6864 Å, b = 12.0693 Å, c = 10.5990 Å
α = 90.00°, β = 90.04°, γ = 90.00°
Space group C2/m (No. 12)
Symmetry-distinct sites (fractional):
Tb 0.0000 0.2071 0.0000 x4
Pm 0.0000 0.1331 0.5000 x4
Y 0.0006 0.0000 0.7967 x4
Y 0.0006 0.3476 0.7074 x8
Ho 0.0000 0.5000 0.0000 x2

Principal peaks in the range 2θ from 10° to 90°, by angle:
Position (°2θ)	I (rel.)
30.70	31
30.81	25
31.46	39
32.06	100
33.83	19
44.62	18
46.87	15
52.78	11
56.41	26
62.09	16
62.75	14
79.98	9

Record 5
The following is a calculated XRD peak list of SrTlRu2O8. It was derived from DFT lattice parameters and positions (GGA-PBE), using copper Kα.
Intensities are scaled so that the largest is 100.

Structure:
a = 6.0978 Å, b = 6.0978 Å, c = 7.9842 Å
α = 90.00°, β = 90.00°, γ = 120.00°
Space group P-3m1 (No. 164)
Symmetry-distinct sites (fractional):
Sr 0.0000 0.0000 0.0000 x1
Tl 0.0000 0.0000 0.5000 x1
Ru 0.3333 0.6667 0.8333 x2
O 0.1718 0.3435 0.7691 x6
O 0.3333 0.6667 0.0536 x2

Principal peaks in the range 2θ from 10° to 90°, by angle:
Position (°2θ)	I (rel.)
16.79	37
20.16	100
28.02	83
29.29	76
37.10	19
40.98	39
45.23	16
46.92	20
48.77	24
51.17	31
51.95	15
66.22	19

Record 6
The following is a calculated XRD peak list of AlZnTeS. It was derived from DFT lattice parameters and positions (GGA-PBE), using copper Kα.
Intensities are scaled so that the largest is 100.

Structure:
a = 6.0065 Å, b = 3.6582 Å, c = 9.7783 Å
α = 90.00°, β = 91.54°, γ = 90.00°
Space group Cm (No. 8)
Symmetry-distinct sites (fractional):
Al 0.0000 0.0000 0.0000 x2
Zn 0.9997 0.0000 0.7482 x2
Te 0.3355 0.0000 0.5519 x2
S 0.1656 0.5000 0.1104 x2

Principal peaks in the range 2θ from 10° to 90°, by angle:
Position (°2θ)	I (rel.)
18.15	57
28.57	14
30.15	100
30.92	47
33.84	31
34.28	26
36.78	15
39.69	24
40.28	51
46.88	29
49.86	15
52.09	27

Record 7
The following is a calculated XRD peak list of PmNd5Sm2. It was derived from DFT lattice parameters and positions (GGA-PBE), using copper Kα.
Intensities are scaled so that the largest is 100.

Structure:
a = 7.3284 Å, b = 14.6571 Å, c = 5.1801 Å
α = 90.00°, β = 90.00°, γ = 90.00°
Space group Pbam (No. 55)
Symmetry-distinct sites (fractional):
Pm 0.0000 0.0000 0.0000 x2
Nd 0.0004 0.2498 0.0000 x4
Nd 0.0000 0.5000 0.0000 x2
Nd 0.2501 0.1248 0.5000 x4
Sm 0.2495 0.8752 0.5000 x4

Principal peaks in the range 2θ from 10° to 90°, by angle:
Position (°2θ)	I (rel.)
29.87	100
34.62	51
49.77	36
59.14	43
62.05	12
73.05	6
80.86	18
83.43	16

Record 8
The following is a calculated XRD peak list of Rb2NpCr2S6. It was derived from DFT lattice parameters and positions (GGA-PBE), using copper Kα.
Intensities are scaled so that the largest is 100.

Structure:
a = 6.3089 Å, b = 11.0623 Å, c = 8.1038 Å
α = 90.00°, β = 104.31°, γ = 90.00°
Space group C2/m (No. 12)
Symmetry-distinct sites (fractional):
Rb 0.0000 0.1627 0.0000 x4
Np 0.0000 0.0000 0.5000 x2
Cr 0.0000 0.3334 0.5000 x4
S 0.1932 0.5000 0.6763 x4
S 0.2346 0.1800 0.6741 x8

Principal peaks in the range 2θ from 10° to 90°, by angle:
Position (°2θ)	I (rel.)
11.27	91
16.57	64
19.63	43
22.65	40
25.06	31
29.10	30
31.03	19
31.87	100
32.37	51
41.93	35
47.88	23
49.93	29

Record 9
The following is a calculated XRD peak list of TiCd3Pd2. It was derived from DFT lattice parameters and positions (GGA-PBE), using copper Kα.
Intensities are scaled so that the largest is 100.

Structure:
a = 4.7695 Å, b = 3.3120 Å, c = 7.3277 Å
α = 90.00°, β = 108.79°, γ = 90.00°
Space group P2/m (No. 10)
Symmetry-distinct sites (fractional):
Ti 0.0000 0.0000 0.0000 x1
Cd 0.3208 0.0000 0.6426 x2
Cd 0.5000 0.5000 0.0000 x1
Pd 0.1470 0.5000 0.2927 x2

Principal peaks in the range 2θ from 10° to 90°, by angle:
Position (°2θ)	I (rel.)
29.89	7
37.44	6
37.56	6
37.72	28
38.39	100
38.95	19
55.23	7
55.47	15
68.47	9
68.62	8
69.05	9
69.86	6

Record 10
The following is a calculated XRD peak list of NdDy5Bi5. It was derived from DFT lattice parameters and positions (GGA-PBE), using copper Kα.
Intensities are scaled so that the largest is 100.

Structure:
a = 13.9882 Å, b = 6.3136 Å, c = 8.8948 Å
α = 90.00°, β = 108.22°, γ = 90.00°
Space group C2/m (No. 12)
Symmetry-distinct sites (fractional):
Nd 0.0000 0.0000 0.0000 x2
Dy 0.0000 0.0000 0.5000 x2
Dy 0.1615 0.5000 0.3356 x4
Dy 0.1657 0.5000 0.8316 x4
Bi 0.0000 0.5000 0.0000 x2
Bi 0.1690 0.0000 0.3405 x4
Bi 0.1719 0.0000 0.8285 x4

Principal peaks in the range 2θ from 10° to 90°, by angle:
Position (°2θ)	I (rel.)
28.32	100
28.52	49
40.51	58
40.59	38
40.75	19
50.18	21
50.33	21
66.24	9
66.36	23
66.68	18
73.63	14
73.90	13